# Zr4BeGe
Computed X-ray diffraction stick pattern, λ = 1.5418 Å (Cu Kα). Input: a DFT-relaxed cell (PBE, Alexandria).

Cell and atoms:
```
Zr4BeGe
1.0
6.617 0.000 0.000
0.000 6.617 0.000
0.000 0.000 5.305
Zr Be Ge
8 2 2
Direct
0.156 0.344 0.250
0.156 0.656 0.750
0.344 0.156 0.750
0.344 0.844 0.250
0.656 0.156 0.250
0.656 0.844 0.750
0.844 0.344 0.750
0.844 0.656 0.250
0.000 0.000 0.500
0.500 0.500 0.000
0.000 0.000 0.000
0.500 0.500 0.500
```

Top 10 peaks for 2θ = 10–90°, in order of rising 2θ:
| 2theta | I (rel.) | index |
| --- | --- | --- |
| 33.79 | 13 | 0 0 2 |
| 34.71 | 100 | 2 1 1 |
| 39.03 | 16 | 1 1 2 |
| 43.23 | 25 | 3 1 0 |
| 43.74 | 15 | 2 0 2 |
| 60.24 | 12 | 4 1 1 |
| 61.04 | 19 | 2 1 3 |
| 66.62 | 10 | 4 0 2 |
| 69.97 | 14 | 3 3 2 |
| 80.18 | 11 | 5 2 1 |